[1]
Starting from the GGA-PBE geometry in Alexandria, the powder diffractogram of LaAgS2 was computed for Cu Kα (weighted mean of Kα1 and Kα2).

Structure:
Cell: 10.704 10.846 13.260 Å, 90.00 93.99 90.00°
Space group C2/c (No. 15)
Unique sites:
La 0.007 0.137 0.116 x8
La 0.245 0.397 0.161 x8
Ag 0.091 0.452 0.427 x8
Ag 0.118 0.235 0.617 x8
S 0.000 0.087 0.750 x4
S 0.000 0.377 0.250 x4
S 0.083 0.313 0.980 x8
S 0.174 0.030 0.517 x8
S 0.229 0.150 0.266 x8

The 10 most intense peaks (10 to 80 degrees two-theta), by intensity:
2θ (°), I_rel, hkl
32.75, 100, 1 3 -3
27.01, 66, 0 0 4
26.77, 46, 3 1 -1
34.47, 44, 3 1 3
28.86, 43, 3 1 -2
29.99, 40, 1 1 4
26.43, 40, 2 2 -2
47.81, 40, 4 4 0
30.47, 37, 3 1 2
43.19, 34, 1 5 1

---

[2]
Starting from the GGA-PBE geometry in Alexandria, the powder diffractogram of Zr3Sc was computed for Cu Kα (weighted mean of Kα1 and Kα2).

Structure:
Cell: 5.129 6.490 5.624 Å, 90.00 90.00 90.00°
Space group Pmmn (No. 59, origin choice 2)
Unique sites:
Zr 0.250 0.001 0.168 x4
Zr 0.250 0.750 0.668 x2
Sc 0.250 0.250 0.665 x2

The 10 most intense peaks (10 to 80 degrees two-theta), by intensity:
2θ (°), I_rel, hkl
36.45, 100, 1 2 1
34.99, 25, 2 0 0
31.83, 24, 0 0 2
68.41, 20, 2 4 0
63.71, 18, 3 2 1
56.72, 18, 0 4 0
48.02, 15, 2 0 2
69.32, 14, 1 0 4
77.43, 3, 2 4 2
22.09, 3, 1 1 0